The following is a theoretical PXRD pattern of Ta2CrNO5. It was derived from a cell relaxed with GGA+U, using Cu Kα.
Intensities are scaled so that the largest is 100.

Atomic structure:
```
data_Ta2CrNO5
_chemical_formula_sum 'Ta4 Cr2 N2 O10'
_cell_length_a 4.759
_cell_length_b 4.761
_cell_length_c 9.252
_cell_angle_alpha 89.80
_cell_angle_beta 89.91
_cell_angle_gamma 89.73
_symmetry_space_group_name_H-M 'P 1'
_symmetry_Int_Tables_number 1
_symmetry_space_group_name_Hall 'P 1'
loop_
_atom_site_label
_atom_site_type_symbol
_atom_site_fract_x
_atom_site_fract_y
_atom_site_fract_z
Ta1 Ta 0.000 0.000 0.000
Ta2 Ta 0.007 0.013 0.325
Ta3 Ta 0.498 0.516 0.501
Ta4 Ta 0.512 0.527 0.843
Cr1 Cr 0.498 0.525 0.164
Cr2 Cr 0.995 0.028 0.663
N1 N 0.195 0.830 0.166
N2 N 0.694 0.724 0.995
O1 O 0.192 0.830 0.496
O2 O 0.196 0.833 0.829
O3 O 0.297 0.331 0.659
O4 O 0.299 0.329 0.338
O5 O 0.301 0.331 0.993
O6 O 0.688 0.721 0.662
O7 O 0.693 0.722 0.337
O8 O 0.796 0.225 0.498
O9 O 0.803 0.227 0.829
O10 O 0.807 0.220 0.166
```

Main lines, by angle (2θ from 10° to 90°):
hkl 0 0 2, 19.19 deg, intensity 16
hkl 0 1 -1, 20.99 deg, intensity 50
hkl 1 1 0, 26.42 deg, intensity 85
hkl 1 -1 0, 26.55 deg, intensity 84
hkl 1 0 3, 34.64 deg, intensity 100
hkl 0 1 -3, 34.71 deg, intensity 33
hkl 2 0 0, 37.80 deg, intensity 42
hkl 2 1 3, 52.05 deg, intensity 27
hkl 2 1 -3, 52.25 deg, intensity 67
hkl 3 0 3, 66.17 deg, intensity 15
hkl 3 0 -3, 66.32 deg, intensity 15
hkl 1 1 -6, 66.77 deg, intensity 18